# AlFe3F15
Computed XRD peak list, copper Kα. Input: a PBE+U-relaxed structure.
Peak positions follow from Bragg's law for the DFT cell and can differ from measured ones.

```
data_AlFe3F15
_cell_length_a 5.3473
_cell_length_b 5.3473
_cell_length_c 9.6469
_cell_angle_alpha 108.66
_cell_angle_beta 108.66
_cell_angle_gamma 76.76
_symmetry_space_group_name_H-M 'P 1'
_symmetry_Int_Tables_number 1
loop_
_symmetry_equiv_pos_as_xyz
'x,y,z'
loop_
_atom_site_label
_atom_site_fract_x
_atom_site_fract_y
_atom_site_fract_z
Al1 0.0000 0.0000 0.0000
Fe1 0.4993 0.4993 0.1790
Fe2 0.5000 0.5000 0.5000
Fe3 0.5007 0.5007 0.8210
F1 0.0000 0.0000 0.5000
F2 0.0027 0.0027 0.1786
F3 0.2443 0.2443 0.0789
F4 0.2660 0.2660 0.7488
F5 0.2709 0.2709 0.4243
F6 0.3021 0.6979 0.0000
F7 0.3102 0.6781 0.3370
F8 0.3219 0.6898 0.6630
F9 0.6781 0.3102 0.3370
F10 0.6898 0.3219 0.6630
F11 0.6979 0.3021 0.0000
F12 0.7291 0.7291 0.5757
F13 0.7340 0.7340 0.2512
F14 0.7557 0.7557 0.9211
F15 0.9973 0.9973 0.8214
```

The 12 most intense peaks (10 to 90 degrees two-theta), by intensity:
two_theta  d/Å  I (rel.)
17.68  5.016  100
23.24  3.827  92
26.85  3.320  80
30.91  2.893  57
40.59  2.223  50
41.04  2.199  46
47.52  1.913  38
50.03  1.823  37
55.39  1.659  31
57.33  1.607  19
54.08  1.696  15
52.96  1.729  15